For La10Mn9O30, a cell relaxed with PBE+U gives the theoretical PXRD pattern in this record (copper Kα).
Kinematic intensities with the Lorentz-polarization factor, no thermal factor.

Structure:
```
La10Mn9O30
1.0
7.8719 0.0000 0.0000
3.7504 8.7248 0.0000
3.8686 -0.0781 8.8510
La Mn O
10 9 30
direct
0.0449 0.2799 0.0910
0.1423 0.9016 0.2896
0.2498 0.4999 0.4997
0.3366 0.0927 0.7107
0.4335 0.7106 0.9073
0.5665 0.2894 0.0927
0.6634 0.9073 0.2893
0.7502 0.5001 0.5003
0.8577 0.0984 0.7104
0.9551 0.7201 0.9090
0.1026 0.5936 0.2005
0.2010 0.1985 0.3992
0.3035 0.8000 0.5939
0.3992 0.4004 0.8013
0.5000 0.0000 0.0000
0.6008 0.5996 0.1987
0.6965 0.2000 0.4061
0.7990 0.8015 0.6008
0.8974 0.4064 0.7995
0.0663 0.8134 0.5547
0.0907 0.2736 0.6102
0.0945 0.4148 0.3301
0.0988 0.7745 0.0877
0.1308 0.9190 0.7705
0.1381 0.3863 0.8374
0.2788 0.0069 0.9636
0.2928 0.4717 0.0128
0.2978 0.6130 0.7276
0.3038 0.1261 0.1887
0.3103 0.9863 0.4686
0.3373 0.5849 0.2395
0.4621 0.2150 0.3595
0.4887 0.6697 0.4159
0.4971 0.8108 0.1258
0.5029 0.1892 0.8742
0.5113 0.3303 0.5841
0.5379 0.7850 0.6405
0.6627 0.4151 0.7605
0.6897 0.0137 0.5314
0.6962 0.8739 0.8113
0.7022 0.3870 0.2724
0.7072 0.5283 0.9872
0.7212 0.9931 0.0364
0.8619 0.6137 0.1626
0.8692 0.0810 0.2295
0.9012 0.2255 0.9123
0.9055 0.5852 0.6699
0.9093 0.7264 0.3898
0.9337 0.1866 0.4453
```

Principal peaks in the range 5 to 70 degrees two-theta, by intensity:
31.93°, I 100, hkl 2 -1 2
32.47°, I 99, hkl 0 3 1
22.62°, I 40, hkl 0 2 -1
46.15°, I 40, hkl 4 2 2
57.23°, I 33, hkl -2 3 2
39.48°, I 29, hkl 2 -2 0
56.90°, I 24, hkl 2 -2 5
46.24°, I 20, hkl 0 4 -2
58.26°, I 16, hkl 2 6 1
66.77°, I 11, hkl 4 -2 4
67.97°, I 10, hkl 4 6 0
40.38°, I 10, hkl 2 4 2